Ti2FeH6: computed powder X-ray diffraction pattern (Cu Kα), based on a cell relaxed with PBE.
No peak broadening, texture or thermal motion is included.

Largest 12 diffraction maxima, by angle, 10° ≤ 2θ ≤ 80°:
two_theta  I (rel.)
36.2  100
36.5  98
41.9  58
42.7  28
60.4  10
61.2  10
61.4  39
72.7  21
73.2  21
73.9  10
74.1  10
77.5  9

Crystal structure
```
Ti2FeH6
1.0
-1.5143 2.1188 4.5961
1.5143 -2.1188 4.5961
1.5143 2.1188 -4.5961
Ti Fe H
2 1 6
Cartesian
0.0000 0.0000 1.5031
0.0000 0.0000 7.6891
0.0000 0.0000 4.5961
1.5143 1.1235 -1.4835
0.0000 1.1657 0.0000
1.5143 1.1235 1.4835
0.0000 0.9952 3.1126
0.0000 3.0719 0.0000
0.0000 0.9952 6.0796
```